Calculated powder diffraction line list
Compound: RbHoW2O8
Radiation: Cu Kα X-rays
Structure: a crystal structure in the Materials Project, relaxed with GGA+U

Crystal structure
Unit cell a=10.892 b=10.617 c=7.496 alpha=90.00 beta=130.06 gamma=90.00
Space group C2/c (No. 15)
Symmetry-distinct sites (fractional):
Rb 0.000 0.200 0.250 [4 per cell]
Ho 0.000 0.224 0.750 [4 per cell]
W 0.195 0.495 0.719 [8 per cell]
O 0.019 0.390 0.965 [8 per cell]
O 0.130 0.085 0.693 [8 per cell]
O 0.188 0.432 0.441 [8 per cell]
O 0.217 0.157 0.122 [8 per cell]

Peak list (10 most intense, 2θ = 10–80°, by angle)
h k l	two_theta	I/Imax
2 2 0	27.2	97
1 3 0	27.4	27
3 1 -2	28.0	25
2 2 -2	29.2	100
0 0 2	31.2	41
4 0 -2	33.1	19
3 1 0	33.3	26
0 4 0	33.8	21
0 4 2	46.6	24
2 2 -4	55.4	21

Calculated powder diffraction line list
Compound: Li3MnB4O9
Radiation: Cu Kα X-rays
Structure: a crystal structure in the Materials Project, relaxed with GGA+U

Crystal structure
Unit cell a=5.818 b=8.746 c=6.698 alpha=90.00 beta=102.49 gamma=90.00
Space group P2_1/m (No. 11)
Symmetry-distinct sites (fractional):
Li 0.079 0.250 0.497 [2 per cell]
Li 0.261 0.565 0.839 [4 per cell]
Mn 0.255 0.250 0.118 [2 per cell]
B 0.220 0.547 0.281 [4 per cell]
B 0.367 0.750 0.537 [2 per cell]
B 0.493 0.250 0.773 [2 per cell]
O 0.086 0.081 0.219 [4 per cell]
O 0.213 0.614 0.466 [4 per cell]
O 0.278 0.250 0.849 [2 per cell]
O 0.361 0.608 0.155 [4 per cell]
O 0.419 0.750 0.760 [2 per cell]
O 0.425 0.250 0.550 [2 per cell]

Peak list (10 most intense, 2θ = 10–80°, by angle)
h k l	two_theta	I/Imax
1 0 -1	18.3	64
0 2 0	20.3	78
1 1 -1	21.0	33
1 0 1	22.9	49
1 1 1	25.0	100
1 2 0	25.7	51
2 0 0	31.5	31
1 3 0	34.6	94
1 2 -2	35.2	33
0 0 3	41.4	47

Calculated powder diffraction line list
Compound: LiMn3B3O9
Radiation: Cu Kα X-rays
Structure: a crystal structure in the Materials Project, relaxed with GGA+U

Crystal structure
Unit cell a=5.759 b=8.128 c=9.195 alpha=110.00 beta=105.19 gamma=100.65
Space group P-1 (No. 2)
Symmetry-distinct sites (fractional):
Li 0.166 0.347 0.232 [2 per cell]
Mn 0.106 0.346 0.554 [2 per cell]
Mn 0.255 0.003 0.129 [2 per cell]
Mn 0.439 0.677 0.179 [2 per cell]
B 0.099 0.353 0.897 [2 per cell]
B 0.201 0.963 0.773 [2 per cell]
B 0.434 0.672 0.531 [2 per cell]
O 0.081 0.909 0.870 [2 per cell]
O 0.110 0.887 0.606 [2 per cell]
O 0.146 0.767 0.185 [2 per cell]
O 0.182 0.551 0.445 [2 per cell]
O 0.204 0.428 0.065 [2 per cell]
O 0.241 0.390 0.803 [2 per cell]
O 0.430 0.105 0.856 [2 per cell]
O 0.433 0.304 0.572 [2 per cell]
O 0.460 0.264 0.304 [2 per cell]

Peak list (10 most intense, 2θ = 10–80°, by angle)
h k l	two_theta	I/Imax
0 1 1	19.5	100
0 1 -2	20.3	33
0 2 -1	22.3	81
1 0 -2	22.5	87
0 0 3	33.2	45
2 -2 0	35.4	77
0 3 0	37.0	32
1 1 2	39.5	32
0 2 -4	41.2	29
0 1 4	51.7	38

Calculated powder diffraction line list
Compound: NaLaNi4O12
Radiation: Cu Kα X-rays
Structure: a crystal structure in the Materials Project, relaxed with GGA+U

Crystal structure
Unit cell a=7.728 b=7.567 c=7.552 alpha=90.00 beta=90.00 gamma=90.00
Space group Amm2 (No. 38)
Symmetry-distinct sites (fractional):
Na 0.000 0.000 0.000 [2 per cell]
La 0.500 0.000 0.523 [2 per cell]
Ni 0.243 0.246 0.262 [8 per cell]
O 0.000 0.223 0.781 [4 per cell]
O 0.212 0.000 0.224 [4 per cell]
O 0.258 0.217 0.513 [8 per cell]
O 0.276 0.000 0.767 [4 per cell]
O 0.500 0.223 0.266 [4 per cell]

Peak list (10 most intense, 2θ = 10–80°, by angle)
h k l	two_theta	I/Imax
1 0 0	11.5	25
0 1 1	16.6	30
1 1 1	20.2	77
0 0 2	23.5	28
2 2 0	33.2	100
0 2 2	33.5	51
1 3 1	39.5	26
4 0 0	47.0	25
2 4 2	59.7	41
4 0 4	69.6	24

Calculated powder diffraction line list
Compound: KTaV2O8
Radiation: Cu Kα X-rays
Structure: a crystal structure in the Materials Project, relaxed with GGA+U

Crystal structure
Unit cell a=15.190 b=5.669 c=8.720 alpha=90.00 beta=90.00 gamma=90.00
Space group Pnma (No. 62)
Symmetry-distinct sites (fractional):
K 0.123 0.250 0.052 [4 per cell]
Ta 0.118 0.750 0.687 [4 per cell]
V 0.028 0.750 0.292 [4 per cell]
V 0.214 0.250 0.488 [4 per cell]
O 0.038 0.000 0.766 [8 per cell]
O 0.053 0.750 0.489 [4 per cell]
O 0.118 0.750 0.189 [4 per cell]
O 0.134 0.250 0.361 [4 per cell]
O 0.184 0.750 0.883 [4 per cell]
O 0.201 0.509 0.602 [8 per cell]

Peak list (10 most intense, 2θ = 10–80°, by angle)
h k l	two_theta	I/Imax
1 0 1	11.7	43
2 0 1	15.5	91
0 1 1	18.7	63
2 1 0	19.5	69
3 1 1	25.7	55
2 1 2	28.4	100
4 1 1	30.1	86
1 0 3	31.3	32
0 2 0	31.6	45
5 1 4	54.3	36

Calculated powder diffraction line list
Compound: CrN3O8
Radiation: Cu Kα X-rays
Structure: a crystal structure in the Materials Project, relaxed with GGA+U

Crystal structure
Unit cell a=10.076 b=10.117 c=8.032 alpha=90.00 beta=90.00 gamma=90.00
Space group Pca2_1 (No. 29)
Symmetry-distinct sites (fractional):
Cr 0.001 0.247 0.000 [4 per cell]
N 0.016 0.758 0.988 [4 per cell]
N 0.231 0.511 0.760 [4 per cell]
N 0.246 0.989 0.763 [4 per cell]
O 0.001 0.949 0.494 [4 per cell]
O 0.002 0.441 0.025 [4 per cell]
O 0.013 0.091 0.151 [4 per cell]
O 0.043 0.385 0.166 [4 per cell]
O 0.122 0.267 0.809 [4 per cell]
O 0.170 0.747 0.375 [4 per cell]
O 0.191 0.234 0.944 [4 per cell]
O 0.194 0.746 0.537 [4 per cell]

Peak list (10 most intense, 2θ = 10–80°, by angle)
h k l	two_theta	I/Imax
1 1 1	16.6	100
0 2 0	17.6	32
0 0 2	22.1	10
2 0 2	28.4	38
1 3 1	30.1	13
0 4 0	35.5	9
4 0 0	35.6	8
2 4 2	46.1	12
1 5 1	47.2	7
5 1 1	47.4	7

Calculated powder diffraction line list
Compound: Li4Mn3SnP4O16
Radiation: Cu Kα X-rays
Structure: a crystal structure in the Materials Project, relaxed with GGA+U

Crystal structure
Unit cell a=4.841 b=6.294 c=10.850 alpha=90.00 beta=90.27 gamma=90.00
Space group Pm (No. 6)
Symmetry-distinct sites (fractional):
Li 0.000 0.244 0.000 [2 per cell]
Li 0.505 0.245 0.521 [2 per cell]
Mn 0.031 0.500 0.298 [1 per cell]
Mn 0.475 0.500 0.788 [1 per cell]
Mn 0.967 0.000 0.726 [1 per cell]
Sn 0.524 0.000 0.228 [1 per cell]
P 0.082 0.000 0.437 [1 per cell]
P 0.408 0.000 0.907 [1 per cell]
P 0.620 0.500 0.097 [1 per cell]
P 0.912 0.500 0.605 [1 per cell]
O 0.195 0.200 0.366 [2 per cell]
O 0.227 0.000 0.566 [1 per cell]
O 0.230 0.500 0.610 [1 per cell]
O 0.278 0.000 0.039 [1 per cell]
O 0.281 0.199 0.841 [2 per cell]
O 0.306 0.500 0.116 [1 per cell]
O 0.714 0.500 0.960 [1 per cell]
O 0.726 0.000 0.908 [1 per cell]
O 0.766 0.000 0.447 [1 per cell]
O 0.769 0.306 0.160 [2 per cell]
O 0.782 0.303 0.673 [2 per cell]
O 0.790 0.500 0.471 [1 per cell]

Peak list (10 most intense, 2θ = 10–80°, by angle)
h k l	two_theta	I/Imax
0 0 2	16.3	40
1 0 -1	20.1	51
1 1 -1	24.6	100
0 2 0	28.4	77
1 1 -3	34.0	51
1 1 3	34.1	52
1 2 -1	35.0	30
0 1 4	36.1	27
0 1 6	52.6	27
1 3 3	54.0	25

Calculated powder diffraction line list
Compound: TiFeO4
Radiation: Cu Kα X-rays
Structure: a crystal structure in the Materials Project, relaxed with GGA+U

Crystal structure
Unit cell a=3.822 b=7.592 c=9.652 alpha=90.00 beta=90.00 gamma=90.00
Space group Pmn2_1 (No. 31)
Symmetry-distinct sites (fractional):
Ti 0.000 0.120 0.000 [2 per cell]
Ti 0.000 0.629 0.992 [2 per cell]
Fe 0.000 0.376 0.239 [2 per cell]
Fe 0.000 0.874 0.257 [2 per cell]
O 0.000 0.126 0.795 [2 per cell]
O 0.000 0.133 0.205 [2 per cell]
O 0.000 0.374 0.443 [2 per cell]
O 0.000 0.376 0.039 [2 per cell]
O 0.000 0.617 0.201 [2 per cell]
O 0.000 0.623 0.787 [2 per cell]
O 0.000 0.872 0.046 [2 per cell]
O 0.000 0.877 0.459 [2 per cell]

Peak list (10 most intense, 2θ = 10–80°, by angle)
h k l	two_theta	I/Imax
1 0 1	25.1	100
0 2 1	25.2	100
0 0 4	37.3	37
1 2 2	38.3	20
2 0 0	47.6	28
0 4 0	47.9	27
0 2 5	53.2	36
2 2 1	54.6	20
1 4 1	54.8	19
1 2 6	67.9	15

- Number 7 is which compound?
  Li4Mn3SnP4O16